No. 1
Starting from a cell relaxed with GGA-PBE, the powder XRD pattern of BaHg2 was computed for Cu Kα, 1.54184 Å.
Neutral-atom scattering factors, no anomalous dispersion.

Largest 6 diffraction maxima, low angle first, 10° ≤ 2θ ≤ 90°:
d (Å)  two_theta  I (rel.)  hkl
3.136  28.5  100  1 0 1
2.615  34.3  79  1 1 0
2.241  40.3  27  1 1 1
2.008  45.1  29  2 0 1
1.671  54.9  42  1 1 2
1.593  57.9  28  2 1 1

Unit cell a=5.2297 b=5.2297 c=4.3462 alpha=90.00 beta=90.00 gamma=120.00
Space group P6/mmm (No. 191)
Symmetry-distinct sites (fractional):
Ba 0.0000 0.0000 0.0000 [1 per cell]
Hg 0.3333 0.6667 0.5000 [2 per cell]

***

No. 2
Starting from a cell relaxed with GGA-PBE, the powder XRD pattern of TbTe was computed for Cu Kα, 1.54184 Å.
Neutral-atom scattering factors, no anomalous dispersion.

Largest 6 diffraction maxima, low angle first, 10° ≤ 2θ ≤ 90°:
d (Å)  two_theta  I (rel.)  hkl
3.092  28.9  100  2 0 0
2.186  41.3  76  2 2 0
1.785  51.2  27  2 2 2
1.546  59.8  13  4 0 0
1.383  67.8  35  4 2 0
1.262  75.3  26  4 2 2

Unit cell a=6.184 b=6.184 c=6.184 alpha=90.00 beta=90.00 gamma=90.00
Space group Fm-3m (No. 225)
Symmetry-distinct sites (fractional):
Tb 0.000 0.000 0.000 [4 per cell]
Te 0.000 0.000 0.500 [4 per cell]

***

No. 3
Starting from a cell relaxed with GGA-PBE, the powder XRD pattern of ZnTe was computed for Cu Kα, 1.54184 Å.
Neutral-atom scattering factors, no anomalous dispersion.

Largest 6 diffraction maxima, low angle first, 10° ≤ 2θ ≤ 90°:
d (Å)  two_theta  I (rel.)  hkl
3.359  26.5  95  0 2 0
2.857  31.3  43  0 2 1
2.771  32.3  63  2 0 0
2.717  33.0  60  0 0 2
1.989  45.6  30  2 2 1
1.939  46.8  100  2 0 2

Unit cell a=5.541 b=6.715 c=5.435 alpha=90.00 beta=90.00 gamma=90.00
Space group Cmcm (No. 63)
Symmetry-distinct sites (fractional):
Zn 0.000 0.130 0.250 [4 per cell]
Te 0.000 0.275 0.750 [4 per cell]

***

No. 4
Starting from a cell relaxed with GGA-PBE, the powder XRD pattern of Sr3LaCu2Bi4O12 was computed for Cu Kα, 1.54184 Å.
Neutral-atom scattering factors, no anomalous dispersion.

Largest 6 diffraction maxima, low angle first, 10° ≤ 2θ ≤ 90°:
d (Å)  two_theta  I (rel.)  hkl
5.361  16.5  78  0 0 3
4.021  22.1  98  0 0 4
3.166  28.2  100  1 1 -2
2.997  29.8  57  -1 1 2
2.967  30.1  72  1 1 2
2.680  33.4  65  0 0 6

Unit cell a=4.564 b=4.881 c=16.209 alpha=97.10 beta=90.52 gamma=90.30
Space group P1 (No. 1)
Symmetry-distinct sites (fractional):
Sr 0.000 0.000 0.000 [1 per cell]
Sr 0.007 0.309 0.306 [1 per cell]
Sr 0.500 0.509 0.003 [1 per cell]
La 0.521 0.804 0.294 [1 per cell]
Cu 0.003 0.653 0.154 [1 per cell]
Cu 0.517 0.161 0.156 [1 per cell]
Bi 0.039 0.853 0.510 [1 per cell]
Bi 0.490 0.948 0.798 [1 per cell]
Bi 0.534 0.352 0.510 [1 per cell]
Bi 0.989 0.447 0.797 [1 per cell]
O 0.035 0.354 0.512 [1 per cell]
O 0.056 0.784 0.375 [1 per cell]
O 0.181 0.971 0.207 [1 per cell]
O 0.339 0.479 0.201 [1 per cell]
O 0.489 0.446 0.794 [1 per cell]
O 0.500 0.021 0.930 [1 per cell]
O 0.516 0.261 0.374 [1 per cell]
O 0.538 0.854 0.512 [1 per cell]
O 0.678 0.836 0.116 [1 per cell]
O 0.835 0.336 0.103 [1 per cell]
O 0.988 0.514 0.929 [1 per cell]
O 0.989 0.945 0.794 [1 per cell]

***

No. 5
Starting from a cell relaxed with GGA-PBE, the powder XRD pattern of Sr2CeZrO6 was computed for Cu Kα, 1.54184 Å.
Neutral-atom scattering factors, no anomalous dispersion.

Largest 6 diffraction maxima, low angle first, 10° ≤ 2θ ≤ 90°:
d (Å)  two_theta  I (rel.)  hkl
3.050  29.3  100  2 2 0
2.157  41.9  34  4 0 0
1.761  51.9  41  4 2 2
1.525  60.7  21  4 4 0
1.364  68.8  18  6 2 0
1.153  83.9  21  6 4 2

Unit cell a=8.628 b=8.628 c=8.628 alpha=90.00 beta=90.00 gamma=90.00
Space group Fm-3m (No. 225)
Symmetry-distinct sites (fractional):
Sr 0.250 0.250 0.250 [8 per cell]
Ce 0.000 0.000 0.000 [4 per cell]
Zr 0.000 0.000 0.500 [4 per cell]
O 0.000 0.000 0.257 [24 per cell]

***

No. 6
Starting from a cell relaxed with GGA-PBE, the powder XRD pattern of KO2 was computed for Cu Kα, 1.54184 Å.
Neutral-atom scattering factors, no anomalous dispersion.

Largest 6 diffraction maxima, low angle first, 10° ≤ 2θ ≤ 90°:
d (Å)  two_theta  I (rel.)  hkl
3.872  23.0  54  1 0 -2
3.142  28.4  100  1 1 -2
2.689  33.3  85  0 2 0
2.544  35.3  68  2 0 0
2.330  38.6  42  1 1 2
1.848  49.3  42  2 2 0

Unit cell a=5.551 b=5.378 c=8.276 alpha=90.00 beta=113.57 gamma=90.00
Space group P2_1/c (No. 14)
Symmetry-distinct sites (fractional):
K 0.238 0.243 0.443 [4 per cell]
O 0.227 0.747 0.383 [4 per cell]
O 0.291 0.717 0.241 [4 per cell]

***

No. 7
Starting from a cell relaxed with GGA-PBE, the powder XRD pattern of NdErZn2 was computed for Cu Kα, 1.54184 Å.
Neutral-atom scattering factors, no anomalous dispersion.

Largest 6 diffraction maxima, low angle first, 10° ≤ 2θ ≤ 90°:
d (Å)  two_theta  I (rel.)  hkl
3.622  24.6  17  2 0 0
2.561  35.0  100  2 2 0
1.811  50.4  18  4 0 0
1.479  62.8  36  4 2 2
1.281  74.0  11  4 4 0
1.145  84.6  16  6 2 0

Unit cell a=7.244 b=7.244 c=7.244 alpha=90.00 beta=90.00 gamma=90.00
Space group Fm-3m (No. 225)
Symmetry-distinct sites (fractional):
Nd 0.000 0.000 0.000 [4 per cell]
Er 0.000 0.000 0.500 [4 per cell]
Zn 0.250 0.250 0.250 [8 per cell]

***

No. 8
Starting from a cell relaxed with GGA-PBE, the powder XRD pattern of Be2Mo was computed for Cu Kα, 1.54184 Å.
Neutral-atom scattering factors, no anomalous dispersion.

Largest 6 diffraction maxima, low angle first, 10° ≤ 2θ ≤ 90°:
d (Å)  two_theta  I (rel.)  hkl
3.854  23.1  84  1 0 0
3.651  24.4  48  0 0 2
3.409  26.1  57  1 0 1
2.225  40.5  92  1 1 0
2.058  44.0  100  1 0 3
1.900  47.9  64  1 1 2

Unit cell a=4.4507 b=4.4507 c=7.3016 alpha=90.00 beta=90.00 gamma=120.00
Space group P6_3/mmc (No. 194)
Symmetry-distinct sites (fractional):
Be 0.0000 0.0000 0.0000 [2 per cell]
Be 0.1694 0.3387 0.2500 [6 per cell]
Mo 0.3333 0.6667 0.5634 [4 per cell]

***

No. 9
Starting from a cell relaxed with GGA-PBE, the powder XRD pattern of K3Hf was computed for Cu Kα, 1.54184 Å.
Neutral-atom scattering factors, no anomalous dispersion.

Largest 6 diffraction maxima, low angle first, 10° ≤ 2θ ≤ 90°:
d (Å)  two_theta  I (rel.)  hkl
5.223  17.0  53  1 0 1
3.404  26.2  100  1 1 2
3.103  28.8  20  0 0 4
2.879  31.1  32  2 0 0
2.110  42.9  25  2 0 4
1.747  52.4  28  3 1 2

Unit cell a=5.758 b=5.758 c=12.411 alpha=90.00 beta=90.00 gamma=90.00
Space group I4/mmm (No. 139)
Symmetry-distinct sites (fractional):
K 0.000 0.000 0.000 [2 per cell]
K 0.000 0.500 0.250 [4 per cell]
Hf 0.000 0.000 0.500 [2 per cell]

***

No. 10
Starting from a cell relaxed with GGA-PBE, the powder XRD pattern of Cs2TlAsCl6 was computed for Cu Kα, 1.54184 Å.
Neutral-atom scattering factors, no anomalous dispersion.

Largest 6 diffraction maxima, low angle first, 10° ≤ 2θ ≤ 90°:
d (Å)  two_theta  I (rel.)  hkl
3.941  22.6  100  2 2 0
2.787  32.1  52  4 0 0
2.276  39.6  45  4 2 2
1.971  46.1  35  4 4 0
1.763  51.9  24  6 2 0
1.490  62.3  27  6 4 2

Unit cell a=11.148 b=11.148 c=11.148 alpha=90.00 beta=90.00 gamma=90.00
Space group Fm-3m (No. 225)
Symmetry-distinct sites (fractional):
Cs 0.250 0.250 0.250 [8 per cell]
Tl 0.000 0.000 0.000 [4 per cell]
As 0.000 0.000 0.500 [4 per cell]
Cl 0.000 0.000 0.274 [24 per cell]